Computed XRD peak list of V4ZnCu3O12 for Cu Kα X-rays, from a GGA+U-relaxed structure.
No peak broadening, texture or thermal motion is included.

Top 10 peaks for 2θ = 10–90°, sorted by position:
- 34.36 deg, I = 100, hkl 2 2 0
- 34.54 deg, I = 95, hkl 2 0 2
- 49.52 deg, I = 55, hkl 0 4 2
- 61.54 deg, I = 23, hkl 6 0 0
- 61.66 deg, I = 47, hkl 4 2 2
- 62.01 deg, I = 23, hkl 0 2 4
- 72.42 deg, I = 12, hkl 4 4 0
- 72.85 deg, I = 13, hkl 4 0 4
- 82.77 deg, I = 15, hkl 2 6 2
- 83.09 deg, I = 15, hkl 6 -4 4

a b c (Å): 10.4401 10.4401 6.3445
angles (deg): 90.00 90.00 120.00
Space group R-3 (No. 148, hexagonal axes)
Inequivalent atoms, fractional coordinates:
V (0.0000, 0.0000, 0.0000) x3
V (0.0000, 0.5000, 0.0000) x9
Zn (0.0000, 0.0000, 0.5000) x3
Cu (0.0000, 0.5000, 0.5000) x9
O (0.0174, 0.8599, 0.1783) x18
O (0.0450, 0.7819, 0.5759) x18